Simulated powder X-ray diffraction pattern of BeCrRuRh for copper Kα, from DFT lattice parameters and positions (PBE).
Peak positions follow from Bragg's law for the DFT cell and can differ from measured ones.

Atomic structure:
a b c (Å): 2.8371 2.8371 5.9007
angles (deg): 90.00 90.00 90.00
Sites, in units of the cell vectors:
Be  0.0000  0.0000  0.0000
Cr  0.0000  0.0000  0.5095
Ru  0.5000  0.5000  0.7616
Rh  0.5000  0.5000  0.2285

Most intense lines, 5 to 70 degrees two-theta, sorted by position:
hkl 0 0 2, 2θ = 30.3°, d = 2.950 Å, rel. 22
hkl 1 0 0, 2θ = 31.5°, d = 2.837 Å, rel. 42
hkl 1 0 1, 2θ = 35.1°, d = 2.557 Å, rel. 14
hkl 1 0 2, 2θ = 44.3°, d = 2.045 Å, rel. 100
hkl 1 1 0, 2θ = 45.2°, d = 2.006 Å, rel. 49
hkl 1 1 2, 2θ = 55.4°, d = 1.659 Å, rel. 16
hkl 0 0 4, 2θ = 63.0°, d = 1.475 Å, rel. 7
hkl 2 0 0, 2θ = 65.8°, d = 1.419 Å, rel. 15